Simulated PXRD pattern of Cr2P5O16 for a wavelength of 1.5418 Å, from a cell relaxed with PBE+U.
Lines closer than 0.1° are merged.

Cell and atoms:
Unit cell a=5.0653 b=6.7668 c=18.8153 alpha=90.00 beta=90.04 gamma=90.00
Positions (direct):
Cr (0.2438, 0.1803, 0.0933)
Cr (0.2438, 0.8197, 0.5933)
Cr (0.7562, 0.1803, 0.4067)
Cr (0.7562, 0.8197, 0.9067)
P (0.2481, 0.4599, 0.3709)
P (0.2481, 0.5401, 0.8709)
P (0.2626, 0.1236, 0.9221)
P (0.2626, 0.8764, 0.4221)
P (0.5000, 0.2592, 0.2500)
P (0.5000, 0.7408, 0.7500)
P (0.7374, 0.1236, 0.5779)
P (0.7374, 0.8764, 0.0779)
P (0.7519, 0.4599, 0.1291)
P (0.7519, 0.5401, 0.6291)
O (0.0406, 0.4221, 0.1143)
O (0.0406, 0.5779, 0.6143)
O (0.0807, 0.0231, 0.3859)
O (0.0807, 0.9769, 0.8859)
O (0.1630, 0.2057, 0.9925)
O (0.1630, 0.7943, 0.4925)
O (0.2876, 0.3078, 0.8672)
O (0.2876, 0.6922, 0.3672)
O (0.3012, 0.4092, 0.2886)
O (0.3012, 0.5908, 0.7886)
O (0.3452, 0.1439, 0.1959)
O (0.3452, 0.8561, 0.6959)
O (0.4485, 0.0539, 0.5719)
O (0.4475, 0.3611, 0.4185)
O (0.4475, 0.6389, 0.9185)
O (0.4485, 0.9461, 0.0719)
O (0.5515, 0.0539, 0.9281)
O (0.5525, 0.3611, 0.0815)
O (0.5525, 0.6389, 0.5815)
O (0.5515, 0.9461, 0.4281)
O (0.6548, 0.1439, 0.3041)
O (0.6548, 0.8561, 0.8041)
O (0.6988, 0.4092, 0.2114)
O (0.6988, 0.5908, 0.7114)
O (0.7124, 0.3078, 0.6328)
O (0.7124, 0.6922, 0.1328)
O (0.8370, 0.2057, 0.5075)
O (0.8370, 0.7943, 0.0075)
O (0.9193, 0.0231, 0.1141)
O (0.9193, 0.9769, 0.6141)
O (0.9594, 0.4221, 0.3857)
O (0.9594, 0.5779, 0.8857)

The 10 most intense peaks (2θ from 10° to 80°), sorted by position:
- 6.367 Å, I 88, (0 1 1)
- 5.493 Å, I 28, (0 1 2)
- 4.704 Å, I 59, (0 0 4)
- 4.459 Å, I 16, (1 0 2)
- 3.964 Å, I 100, (1 1 -1)
- 3.724 Å, I 29, (1 1 2)
- 3.136 Å, I 26, (0 0 6)
- 2.783 Å, I 37, (1 2 1)
- 2.758 Å, I 17, (1 1 5)
- 2.696 Å, I 19, (1 2 -2)